# MoWO6
Simulated powder X-ray diffraction pattern, a wavelength of 1.5418 Å. Input: a cell relaxed with GGA+U.
Peak positions follow from Bragg's law for the DFT cell and can differ from measured ones.

Top 10 peaks for 15° ≤ 2θ ≤ 90°, in order of falling intensity:
- 22.82°, I 100
- 23.14°, I 49
- 32.65°, I 37
- 32.78°, I 24
- 46.61°, I 20
- 52.71°, I 20
- 32.36°, I 13
- 58.28°, I 13
- 52.58°, I 10
- 47.29°, I 10

Crystal structure
Cell: 5.4650 5.4650 5.5339 Å, 120.19 120.19 60.30°
Positions (direct):
1 Mo 0.0000 0.0000 0.0000
2 W 0.5001 0.5001 0.4989
3 O 0.2354 0.7445 0.7016
4 O 0.2367 0.7391 0.2030
5 O 0.2388 0.2388 0.1994
6 O 0.7391 0.2367 0.2030
7 O 0.7406 0.7406 0.6959
8 O 0.7445 0.2354 0.7016

***

# Mn3O2F4
Simulated powder X-ray diffraction pattern, a wavelength of 1.5418 Å. Input: a cell relaxed with GGA+U.
Peak positions follow from Bragg's law for the DFT cell and can differ from measured ones.

Top 10 peaks for 15° ≤ 2θ ≤ 90°, in order of falling intensity:
- 25.97°, I 100
- 33.85°, I 48
- 51.15°, I 29
- 64.99°, I 24
- 50.95°, I 20
- 48.82°, I 16
- 38.73°, I 15
- 53.40°, I 12
- 58.40°, I 11
- 21.97°, I 9

Crystal structure
Cell: 4.8752 3.1607 14.4917 Å, 90.00 90.05 90.00°
Positions (direct):
1 Mn 0.0000 0.0000 0.0000
2 Mn 0.0699 0.0000 0.6572
3 Mn 0.4286 0.5000 0.1576
4 Mn 0.5000 0.5000 0.5000
5 Mn 0.5714 0.5000 0.8424
6 Mn 0.9301 0.0000 0.3428
7 O 0.2371 0.5000 0.5974
8 O 0.2633 0.0000 0.0975
9 O 0.7367 0.0000 0.9025
10 O 0.7629 0.5000 0.4026
11 F 0.1279 0.5000 0.2731
12 F 0.2062 0.5000 0.9363
13 F 0.2950 0.0000 0.4363
14 F 0.3731 0.0000 0.7727
15 F 0.6269 0.0000 0.2273
16 F 0.7050 0.0000 0.5637
17 F 0.7938 0.5000 0.0637
18 F 0.8721 0.5000 0.7269

***

# YW3F15
Simulated powder X-ray diffraction pattern, a wavelength of 1.5418 Å. Input: a cell relaxed with GGA+U.
Peak positions follow from Bragg's law for the DFT cell and can differ from measured ones.

Top 10 peaks for 15° ≤ 2θ ≤ 90°, in order of falling intensity:
- 22.38°, I 100
- 16.66°, I 47
- 28.00°, I 28
- 27.18°, I 27
- 17.67°, I 25
- 32.76°, I 22
- 39.86°, I 21
- 26.72°, I 19
- 32.05°, I 17
- 38.04°, I 16

Crystal structure
Cell: 6.1226 10.6397 10.0915 Å, 90.00 102.71 90.00°
Positions (direct):
1 Y 0.0436 0.2500 0.2492
2 Y 0.9564 0.7500 0.7508
3 W 0.4816 0.0519 0.6579
4 W 0.4816 0.4481 0.6579
5 W 0.5000 0.0000 0.0000
6 W 0.5000 0.5000 0.0000
7 W 0.5184 0.5519 0.3421
8 W 0.5184 0.9481 0.3421
9 F 0.1660 0.7500 0.6266
10 F 0.1849 0.1138 0.5759
11 F 0.1849 0.3862 0.5759
12 F 0.1990 0.7500 0.9245
13 F 0.2598 0.0788 0.2886
14 F 0.2604 0.1207 0.9996
15 F 0.2604 0.3793 0.9996
16 F 0.2598 0.4212 0.2886
17 F 0.3234 0.5411 0.7982
18 F 0.3234 0.9589 0.7982
19 F 0.3650 0.6025 0.1355
20 F 0.3650 0.8975 0.1355
21 F 0.3784 0.5890 0.5110
22 F 0.3784 0.9110 0.5110
23 F 0.4644 0.7500 0.3297
24 F 0.5356 0.2500 0.6703
25 F 0.6216 0.0890 0.4890
26 F 0.6216 0.4110 0.4890
27 F 0.6350 0.1025 0.8645
28 F 0.6350 0.3975 0.8645
29 F 0.6766 0.0411 0.2018
30 F 0.6766 0.4589 0.2018
31 F 0.7402 0.5788 0.7114
32 F 0.7396 0.6207 0.0004
33 F 0.7396 0.8793 0.0004
34 F 0.7402 0.9212 0.7114
35 F 0.8010 0.2500 0.0755
36 F 0.8151 0.6138 0.4241
37 F 0.8151 0.8862 0.4241
38 F 0.8340 0.2500 0.3734

***

# Fe10O9F11
Simulated powder X-ray diffraction pattern, a wavelength of 1.5418 Å. Input: a cell relaxed with GGA+U.
Peak positions follow from Bragg's law for the DFT cell and can differ from measured ones.

Top 10 peaks for 15° ≤ 2θ ≤ 90°, in order of falling intensity:
- 34.51°, I 100
- 25.66°, I 99
- 27.22°, I 91
- 51.18°, I 62
- 52.93°, I 38
- 65.97°, I 20
- 66.10°, I 19
- 52.73°, I 18
- 38.94°, I 18
- 40.03°, I 17

Crystal structure
Cell: 4.7679 4.7797 15.5042 Å, 90.10 90.03 93.32°
Positions (direct):
1 Fe 0.0000 0.0000 0.0000
2 Fe 0.0025 0.9917 0.6014
3 Fe 0.4970 0.5038 0.0969
4 Fe 0.5054 0.4927 0.6988
5 Fe 0.5271 0.5282 0.3007
6 Fe 0.5408 0.5237 0.4881
7 Fe 0.5445 0.5314 0.8896
8 Fe 0.9582 0.0207 0.3955
9 Fe 0.9668 0.0302 0.7896
10 Fe 0.9955 0.9988 0.1906
11 O 0.1943 0.2068 0.6948
12 O 0.2042 0.2059 0.0939
13 O 0.6925 0.3264 0.7971
14 O 0.7081 0.3214 0.4005
15 O 0.7949 0.8099 0.6951
16 O 0.8009 0.8030 0.0934
17 O 0.8157 0.8297 0.4996
18 O 0.8215 0.8349 0.8975
19 O 0.8237 0.8365 0.2915
20 F 0.2068 0.2176 0.2932
21 F 0.2100 0.2228 0.4983
22 F 0.2112 0.2275 0.8992
23 F 0.2986 0.7312 0.4027
24 F 0.3075 0.7123 0.7982
25 F 0.3089 0.7096 0.1919
26 F 0.3142 0.6990 0.5947
27 F 0.3174 0.7035 0.9929
28 F 0.6971 0.3179 0.5944
29 F 0.7006 0.3226 0.9942
30 F 0.7077 0.3114 0.1898

***

# MnO2
Simulated powder X-ray diffraction pattern, a wavelength of 1.5418 Å. Input: a cell relaxed with GGA+U.
Peak positions follow from Bragg's law for the DFT cell and can differ from measured ones.

Top 10 peaks for 15° ≤ 2θ ≤ 90°, in order of falling intensity:
- 37.12°, I 100
- 37.51°, I 96
- 18.78°, I 72
- 18.55°, I 72
- 21.11°, I 66
- 53.61°, I 58
- 20.68°, I 57
- 36.11°, I 46
- 45.99°, I 46
- 46.72°, I 44

Crystal structure
Cell: 9.4564 2.9254 9.5708 Å, 90.00 91.97 90.00°
Positions (direct):
1 Mn 0.0000 0.0000 0.0000
2 Mn 0.0106 0.5000 0.2655
3 Mn 0.2329 0.0000 0.5185
4 Mn 0.5000 0.5000 0.5000
5 Mn 0.7671 0.0000 0.4815
6 Mn 0.9894 0.5000 0.7345
7 O 0.0921 0.0000 0.6591
8 O 0.0979 0.5000 0.9112
9 O 0.1074 0.0000 0.1757
10 O 0.1455 0.5000 0.4201
11 O 0.3329 0.5000 0.6111
12 O 0.4006 0.0000 0.4060
13 O 0.5994 0.0000 0.5940
14 O 0.6671 0.5000 0.3889
15 O 0.8545 0.5000 0.5799
16 O 0.8926 0.0000 0.8243
17 O 0.9021 0.5000 0.0888
18 O 0.9079 0.0000 0.3409

***

# La2ZnNiO6
Simulated powder X-ray diffraction pattern, a wavelength of 1.5418 Å. Input: a cell relaxed with GGA+U.
Peak positions follow from Bragg's law for the DFT cell and can differ from measured ones.

Top 10 peaks for 15° ≤ 2θ ≤ 90°, in order of falling intensity:
- 32.31°, I 100
- 33.03°, I 100
- 46.88°, I 58
- 58.09°, I 41
- 57.63°, I 24
- 22.95°, I 19
- 59.44°, I 18
- 40.00°, I 18
- 78.54°, I 17
- 69.29°, I 17

Crystal structure
Cell: 5.4264 5.4264 5.4264 Å, 61.40 61.40 61.40°
Positions (direct):
1 La 0.2489 0.2489 0.2489
2 La 0.7511 0.7511 0.7511
3 Zn 0.5000 0.5000 0.5000
4 Ni 0.0000 0.0000 0.0000
5 O 0.1730 0.7648 0.3057
6 O 0.2352 0.6943 0.8270
7 O 0.3057 0.1730 0.7648
8 O 0.6943 0.8270 0.2352
9 O 0.7648 0.3057 0.1730
10 O 0.8270 0.2352 0.6943

***

# Fe2W4S2O9
Simulated powder X-ray diffraction pattern, a wavelength of 1.5418 Å. Input: a cell relaxed with GGA+U.
Peak positions follow from Bragg's law for the DFT cell and can differ from measured ones.

Top 10 peaks for 15° ≤ 2θ ≤ 90°, in order of falling intensity:
- 24.86°, I 100
- 31.85°, I 77
- 32.79°, I 46
- 37.09°, I 41
- 33.46°, I 35
- 26.03°, I 34
- 35.35°, I 34
- 28.05°, I 30
- 35.23°, I 29
- 15.24°, I 24

Crystal structure
Cell: 6.4564 8.5280 10.8034 Å, 106.10 97.24 92.95°
Positions (direct):
1 Fe 0.0940 0.3393 0.0357
2 Fe 0.1366 0.7018 0.2643
3 Fe 0.8634 0.2982 0.7357
4 Fe 0.9060 0.6607 0.9643
5 W 0.1741 0.2838 0.5445
6 W 0.2845 0.9180 0.5165
7 W 0.3657 0.5592 0.8969
8 W 0.4819 0.1694 0.8066
9 W 0.5181 0.8306 0.1934
10 W 0.6343 0.4408 0.1031
11 W 0.7155 0.0820 0.4835
12 W 0.8259 0.7162 0.4555
13 S 0.1166 0.9574 0.8314
14 S 0.4133 0.3997 0.3215
15 S 0.5867 0.6003 0.6785
16 S 0.8834 0.0426 0.1686
17 O 0.0596 0.4379 0.8846
18 O 0.0860 0.9999 0.2172
19 O 0.1058 0.8080 0.8766
20 O 0.2374 0.1016 0.9358
21 O 0.2665 0.9276 0.7271
22 O 0.2736 0.5291 0.3629
23 O 0.3581 0.5360 0.6577
24 O 0.3644 0.3223 0.1742
25 O 0.3886 0.2740 0.3904
26 O 0.6114 0.7260 0.6096
27 O 0.6356 0.6777 0.8258
28 O 0.6419 0.4640 0.3423
29 O 0.7264 0.4709 0.6371
30 O 0.7335 0.0724 0.2729
31 O 0.7626 0.8984 0.0642
32 O 0.8942 0.1920 0.1234
33 O 0.9140 0.0001 0.7828
34 O 0.9404 0.5621 0.1154

***

# Eu2NiPtO6
Simulated powder X-ray diffraction pattern, a wavelength of 1.5418 Å. Input: a cell relaxed with GGA+U.
Peak positions follow from Bragg's law for the DFT cell and can differ from measured ones.

Top 10 peaks for 15° ≤ 2θ ≤ 90°, in order of falling intensity:
- 32.01°, I 100
- 32.18°, I 100
- 32.54°, I 49
- 30.92°, I 43
- 45.50°, I 39
- 46.55°, I 26
- 19.10°, I 25
- 57.94°, I 22
- 57.62°, I 22
- 51.57°, I 19

Crystal structure
Cell: 5.5034 5.7846 9.5179 Å, 90.00 124.92 90.00°
Positions (direct):
1 Eu 0.2290 0.0625 0.2466
2 Eu 0.2290 0.4375 0.7466
3 Eu 0.7710 0.5625 0.2534
4 Eu 0.7710 0.9375 0.7534
5 Ni 0.0000 0.0000 0.5000
6 Ni 0.0000 0.5000 0.0000
7 Pt 0.5000 0.0000 0.0000
8 Pt 0.5000 0.5000 0.5000
9 O 0.1491 0.1956 0.9523
10 O 0.1491 0.3044 0.4523
11 O 0.2522 0.7060 0.9435
12 O 0.2522 0.7940 0.4435
13 O 0.3559 0.0395 0.7518
14 O 0.3559 0.4605 0.2518
15 O 0.6441 0.5395 0.7482
16 O 0.6441 0.9605 0.2482
17 O 0.7478 0.2060 0.5565
18 O 0.7478 0.2940 0.0565
19 O 0.8509 0.6956 0.5477
20 O 0.8509 0.8044 0.0477

***

# LaFeTeO6
Simulated powder X-ray diffraction pattern, a wavelength of 1.5418 Å. Input: a cell relaxed with GGA+U.
Peak positions follow from Bragg's law for the DFT cell and can differ from measured ones.

Top 10 peaks for 15° ≤ 2θ ≤ 90°, in order of falling intensity:
- 25.95°, I 100
- 49.16°, I 41
- 34.03°, I 34
- 43.29°, I 23
- 56.17°, I 22
- 60.91°, I 12
- 21.25°, I 11
- 56.67°, I 10
- 77.63°, I 9
- 78.05°, I 8

Crystal structure
Cell: 5.2684 5.2684 10.4295 Å, 90.02 90.02 119.98°
Positions (direct):
1 La 0.0000 0.0000 0.0000
2 La 0.0000 0.0000 0.5000
3 Fe 0.3335 0.6665 0.7500
4 Fe 0.6665 0.3335 0.2500
5 Te 0.3328 0.6672 0.2500
6 Te 0.6672 0.3328 0.7500
7 O 0.0126 0.3779 0.3559
8 O 0.0125 0.6362 0.1441
9 O 0.3628 0.3766 0.1446
10 O 0.3638 0.9875 0.3559
11 O 0.3766 0.3628 0.6446
12 O 0.3779 0.0126 0.8559
13 O 0.6221 0.9874 0.1441
14 O 0.6234 0.6372 0.3554
15 O 0.6362 0.0125 0.6441
16 O 0.6372 0.6234 0.8554
17 O 0.9875 0.3638 0.8559
18 O 0.9874 0.6221 0.6441